# 1
Structure and theoretical powder XRD pattern of Ag2Hg2Te3O12 (a DFT-relaxed cell (PBE, the Materials Project); copper Kα).

Principal peaks in the range 10 to 90 degrees two-theta, most intense first:
2θ/deg, Rel. int., hkl
31.03, 100, 2 1 -1
32.43, 95, 1 1 3
24.90, 94, 1 0 -4
29.09, 44, 0 2 1
28.30, 32, 0 2 0
46.18, 29, 1 1 -7
23.10, 22, 1 1 1
38.05, 22, 1 2 -4

Structure:
Cell lengths 6.580, 6.306, 14.527 Å; angles 90.00, 112.84, 90.00 degrees
Space group P2_1/c (No. 14)
One atom of each set of equivalent atoms:
Ag (0.105, 0.133, 0.290) [4 per cell]
Hg (0.294, 0.542, 0.099) [4 per cell]
Te (0.000, 0.000, 0.000) [2 per cell]
Te (0.410, 0.594, 0.393) [4 per cell]
O (0.001, 0.218, 0.444) [4 per cell]
O (0.117, 0.629, 0.405) [4 per cell]
O (0.264, 0.032, 0.767) [4 per cell]
O (0.291, 0.060, 0.109) [4 per cell]
O (0.400, 0.615, 0.852) [4 per cell]
O (0.451, 0.186, 0.962) [4 per cell]

# 2
Structure and theoretical powder XRD pattern of PmAgHg2 (a DFT-relaxed cell (PBE, the Materials Project); copper Kα).

Principal peaks in the range 10 to 90 degrees two-theta, most intense first:
2θ/deg, Rel. int., hkl
35.14, 100, 2 2 0
63.04, 37, 4 2 2
50.54, 18, 4 0 0
84.90, 17, 6 2 0
74.27, 11, 4 4 0
24.65, 5, 2 0 0
57.01, 3, 4 2 0
43.39, 2, 2 2 2

Structure:
Cell lengths 7.224, 7.224, 7.224 Å; angles 90.00, 90.00, 90.00 degrees
Space group Fm-3m (No. 225)
One atom of each set of equivalent atoms:
Pm (0.000, 0.000, 0.000) [4 per cell]
Ag (0.000, 0.000, 0.500) [4 per cell]
Hg (0.250, 0.250, 0.250) [8 per cell]

# 3
Structure and theoretical powder XRD pattern of Ag2HgS2 (a DFT-relaxed cell (PBE, the Materials Project); copper Kα).

Principal peaks in the range 10 to 90 degrees two-theta, most intense first:
2θ/deg, Rel. int., hkl
32.53, 100, 1 1 1
36.58, 76, 0 3 1
31.93, 48, 1 2 0
24.72, 46, 1 1 -1
31.53, 41, 1 2 -1
31.36, 36, 1 1 -2
29.24, 36, 1 0 -2
30.08, 23, 0 1 2

Structure:
Cell lengths 4.198, 7.980, 6.823 Å; angles 90.00, 110.24, 90.00 degrees
Space group P2_1/c (No. 14)
One atom of each set of equivalent atoms:
Ag (0.120, 0.150, 0.402) [4 per cell]
Hg (0.500, 0.000, 0.000) [2 per cell]
S (0.310, 0.625, 0.765) [4 per cell]

# 4
Structure and theoretical powder XRD pattern of Ag2SnHgSe4 (a DFT-relaxed cell (PBE, the Materials Project); copper Kα).

Principal peaks in the range 10 to 90 degrees two-theta, most intense first:
2θ/deg, Rel. int., hkl
23.74, 100, 2 1 0
24.83, 89, 0 0 2
44.98, 87, 2 1 3
26.84, 86, 2 1 1
41.44, 84, 2 3 0
48.91, 54, 2 3 2
44.84, 45, 0 2 3
26.62, 45, 0 2 1

Structure:
Cell lengths 8.625, 7.575, 7.172 Å; angles 90.00, 90.00, 90.00 degrees
Space group Pmn2_1 (No. 31)
One atom of each set of equivalent atoms:
Ag (0.247, 0.174, 0.000) [4 per cell]
Sn (0.000, 0.668, 0.987) [2 per cell]
Hg (0.000, 0.350, 0.485) [2 per cell]
Se (0.000, 0.345, 0.868) [2 per cell]
Se (0.000, 0.681, 0.350) [2 per cell]
Se (0.243, 0.839, 0.871) [4 per cell]

# 5
Structure and theoretical powder XRD pattern of SmAgHg2 (a DFT-relaxed cell (PBE, the Materials Project); copper Kα).

Principal peaks in the range 10 to 90 degrees two-theta, most intense first:
2θ/deg, Rel. int., hkl
35.26, 100, 2 2 0
63.27, 37, 4 2 2
50.72, 18, 4 0 0
85.25, 17, 6 2 0
74.56, 11, 4 4 0
24.73, 5, 2 0 0
57.22, 2, 4 2 0
43.54, 2, 2 2 2

Structure:
Cell lengths 7.200, 7.200, 7.200 Å; angles 90.00, 90.00, 90.00 degrees
Space group Fm-3m (No. 225)
One atom of each set of equivalent atoms:
Sm (0.000, 0.000, 0.000) [4 per cell]
Ag (0.000, 0.000, 0.500) [4 per cell]
Hg (0.250, 0.250, 0.250) [8 per cell]

# 6
Structure and theoretical powder XRD pattern of SmAg2Hg (a DFT-relaxed cell (PBE, the Materials Project); copper Kα).

Principal peaks in the range 10 to 90 degrees two-theta, most intense first:
2θ/deg, Rel. int., hkl
35.79, 100, 2 2 0
64.30, 35, 4 2 2
51.51, 17, 4 0 0
86.79, 16, 6 2 0
75.83, 11, 4 4 0
25.10, 6, 2 0 0
58.13, 3, 4 2 0
44.21, 2, 2 2 2

Structure:
Cell lengths 7.097, 7.097, 7.097 Å; angles 90.00, 90.00, 90.00 degrees
Space group Fm-3m (No. 225)
One atom of each set of equivalent atoms:
Sm (0.000, 0.000, 0.000) [4 per cell]
Ag (0.250, 0.250, 0.250) [8 per cell]
Hg (0.000, 0.000, 0.500) [4 per cell]

# 7
Structure and theoretical powder XRD pattern of Sm2AgHg (a DFT-relaxed cell (PBE, the Materials Project); copper Kα).

Principal peaks in the range 10 to 90 degrees two-theta, most intense first:
2θ/deg, Rel. int., hkl
33.73, 100, 2 2 0
60.33, 37, 4 2 2
48.44, 18, 4 0 0
80.89, 16, 6 2 0
70.93, 12, 4 4 0
20.47, 4, 1 1 1
39.78, 3, 3 1 1
53.11, 1, 3 3 1

Structure:
Cell lengths 7.516, 7.516, 7.516 Å; angles 90.00, 90.00, 90.00 degrees
Space group Fm-3m (No. 225)
One atom of each set of equivalent atoms:
Sm (0.250, 0.250, 0.250) [8 per cell]
Ag (0.000, 0.000, 0.000) [4 per cell]
Hg (0.000, 0.000, 0.500) [4 per cell]

# 8
Structure and theoretical powder XRD pattern of ThAgHg2 (a DFT-relaxed cell (PBE, the Materials Project); copper Kα).

Principal peaks in the range 10 to 90 degrees two-theta, most intense first:
2θ/deg, Rel. int., hkl
34.83, 100, 2 2 0
62.45, 37, 4 2 2
50.08, 18, 4 0 0
84.02, 17, 6 2 0
73.54, 12, 4 4 0
21.12, 5, 1 1 1
41.09, 3, 3 1 1
54.93, 1, 3 3 1

Structure:
Cell lengths 7.285, 7.285, 7.285 Å; angles 90.00, 90.00, 90.00 degrees
Space group Fm-3m (No. 225)
One atom of each set of equivalent atoms:
Th (0.000, 0.000, 0.000) [4 per cell]
Ag (0.000, 0.000, 0.500) [4 per cell]
Hg (0.250, 0.250, 0.250) [8 per cell]